Entry 1:
Li9Mn2Co5O16: calculated powder diffractogram (Cu Kα X-rays), based on the PBE+U geometry in the Materials Project.
Neutral-atom scattering factors, no anomalous dispersion.

Largest 8 diffraction maxima, sorted by position, 2θ from 15° to 90°:
2theta, I (rel.), (hkl)
18.30, 100, 1 0 0
35.69, 15, 1 2 2
36.14, 26, 0 2 -2
37.56, 8, 1 2 -2
43.07, 29, 2 2 2
43.79, 53, 1 -2 2
57.64, 9, 2 0 -4
63.29, 15, 1 4 0

Structural model:
```
Li9Mn2Co5O16
1.0
5.1602 0.0000 0.0000
1.7530 5.6073 0.0000
1.7187 -0.4441 9.9306
Li Mn Co O
9 2 5 16
Direct
0.0000 0.0000 0.0000 Li
0.9996 0.4968 0.4949 Li
0.0030 0.4962 0.0013 Li
0.0043 0.2469 0.7415 Li
0.0071 0.7377 0.2563 Li
0.0091 0.9931 0.4944 Li
0.5029 0.6193 0.3719 Li
0.9957 0.2574 0.2561 Li
0.9967 0.7463 0.7450 Li
0.4968 0.1241 0.8745 Mn
0.5050 0.8689 0.1274 Mn
0.4950 0.3786 0.6152 Co
0.4995 0.1269 0.3748 Co
0.5052 0.3760 0.1282 Co
0.5050 0.6200 0.8675 Co
0.5065 0.8690 0.6124 Co
0.2612 0.1834 0.5577 O
0.2653 0.6741 0.5724 O
0.2674 0.4217 0.8208 O
0.2746 0.1618 0.0526 O
0.2772 0.4185 0.2965 O
0.2768 0.9360 0.2973 O
0.2799 0.9419 0.8106 O
0.2946 0.6804 0.0604 O
0.7134 0.3054 0.9431 O
0.7180 0.0776 0.6980 O
0.7199 0.0639 0.1807 O
0.7259 0.8283 0.9387 O
0.7336 0.5633 0.6967 O
0.7358 0.2961 0.4383 O
0.7383 0.8199 0.4479 O
0.7429 0.5818 0.1762 O
```

Entry 2:
Ca2CoAs2H2O8: calculated powder diffractogram (Cu Kα X-rays), based on the PBE+U geometry in the Materials Project.
Neutral-atom scattering factors, no anomalous dispersion.

Largest 8 diffraction maxima, sorted by position, 2θ from 15° to 90°:
2theta, I (rel.), (hkl)
17.10, 79, 0 1 1
27.24, 100, 1 3 0
28.37, 63, 1 3 -1
30.47, 89, 1 2 1
31.07, 49, 1 1 -2
32.61, 46, 2 0 -1
33.45, 56, 1 2 -2
43.64, 41, 2 4 -1

Structural model:
```
Ca2CoAs2H2O8
1.0
5.5322 0.0000 0.0000
0.0000 12.6452 0.0000
-2.0748 0.0000 5.6838
Ca Co As H O
4 2 4 4 16
Direct
0.0132 0.0000 0.4518 Ca
0.4647 0.2535 0.4128 Ca
0.5353 0.7535 0.5872 Ca
0.9868 0.5000 0.5482 Ca
0.2858 0.9172 0.0656 Co
0.7142 0.4172 0.9344 Co
0.1498 0.2616 0.7621 As
0.3104 0.5119 0.2077 As
0.6896 0.0119 0.7923 As
0.8502 0.7616 0.2379 As
0.0765 0.6348 0.9473 H
0.2614 0.0189 0.2188 H
0.7386 0.5189 0.7812 H
0.9235 0.1348 0.0527 H
0.0751 0.4206 0.1992 O
0.1428 0.8281 0.3251 O
0.1654 0.1733 0.5510 O
0.2175 0.2078 0.0339 O
0.2229 0.5890 0.9415 O
0.3160 0.5949 0.4293 O
0.3624 0.3599 0.7329 O
0.4130 0.9443 0.7700 O
0.5870 0.4443 0.2300 O
0.6376 0.8599 0.2671 O
0.6840 0.0949 0.5707 O
0.7771 0.0890 0.0585 O
0.7825 0.7078 0.9661 O
0.8346 0.6733 0.4490 O
0.8572 0.3281 0.6749 O
0.9249 0.9206 0.8008 O
```

Entry 3:
LiNbWO6: calculated powder diffractogram (Cu Kα X-rays), based on the PBE+U geometry in the Materials Project.
Neutral-atom scattering factors, no anomalous dispersion.

Largest 8 diffraction maxima, sorted by position, 2θ from 15° to 90°:
2theta, I (rel.), (hkl)
18.82, 27, 0 0 2
20.85, 68, 1 0 1
26.39, 100, 1 1 0
26.57, 36, 1 0 2
32.62, 25, 1 1 2
34.15, 72, 1 0 3
51.75, 63, 2 1 3
65.76, 19, 3 0 3

Structural model:
```
LiNbWO6
1.0
4.7754 0.0000 0.0000
0.0000 4.7754 0.0000
0.0000 0.0000 9.4301
Li Nb W O
2 2 2 12
Direct
0.0000 0.5000 0.0747 Li
0.5000 0.0000 0.9253 Li
0.0000 0.5000 0.4081 Nb
0.5000 0.0000 0.5919 Nb
0.0000 0.5000 0.7664 W
0.5000 0.0000 0.2336 W
0.1949 0.6949 0.5805 O
0.2000 0.7000 0.8911 O
0.2124 0.7124 0.2729 O
0.2876 0.2124 0.7271 O
0.3000 0.2000 0.1089 O
0.3051 0.1949 0.4195 O
0.6949 0.8051 0.4195 O
0.7000 0.8000 0.1089 O
0.7124 0.7876 0.7271 O
0.7876 0.2876 0.2729 O
0.8000 0.3000 0.8911 O
0.8051 0.3051 0.5805 O
```